This entry pairs a crystal structure of Li6Mn5O10 with its theoretical powder X-ray diffraction pattern. Radiation: λ = 1.5418 Å (Cu Kα). Structure: a structure optimized by DFT (PBE+U).

Cell and atoms:
```
21
Lattice="2.8251 -7.4210 0.0000 2.8251 7.4210 0.0000 -0.1704 0.0000 5.1543" Properties=species:S:1:pos:R:3 pbc="T T T"
Li 2.8251 6.0811 0.0000
Li 3.6121 4.2282 4.1752
Li 3.3005 1.5094 4.2281
Li 3.3005 -1.5094 4.2281
Li 2.8251 -6.0811 0.0000
Li 3.6121 -4.2282 4.1752
Mn 1.7931 4.4450 1.9863
Mn 1.8454 1.4899 1.9721
Mn 1.8454 -1.4899 1.9721
Mn 1.7931 -4.4450 1.9863
Mn 4.5974 0.0000 2.1585
O 2.3959 5.8141 3.2853
O 0.7108 0.0000 1.1470
O 2.4761 3.0030 3.1875
O 3.7523 4.4736 0.9147
O 2.8038 0.0000 3.0542
O 3.9099 1.4941 0.9498
O 2.4761 -3.0030 3.1875
O 3.9099 -1.4941 0.9498
O 2.3959 -5.8141 3.2853
O 3.7523 -4.4736 0.9147
```

Principal peaks in the range 15 to 90 degrees two-theta, in order of rising 2θ:
two_theta, I (rel.)
17.20, 100
31.69, 12
34.12, 12
35.75, 31
38.70, 41
46.94, 10
49.14, 11
49.95, 24
58.02, 14
64.35, 14